# 1
Computed X-ray diffraction stick pattern
Compound: ScPb2Se4
Radiation: Cu Kα X-rays
Structure: a DFT-relaxed cell (GGA-PBE, Alexandria)
No peak broadening, texture or thermal motion is included.

Peak list (8 most intense, 2θ from 15° to 90°, by intensity)
23.07°, I 1000; 32.26°, I 847; 29.46°, I 707; 40.43°, I 579; 23.39°, I 547; 30.18°, I 452; 42.99°, I 437; 43.94°, I 382

Atomic structure:
```
ScPb2Se4
1.0
1.9740 -7.1017 0.0000
1.9740 7.1017 0.0000
0.0000 0.0000 13.7741
Sc Pb Se
2 4 8
direct
0.1158 0.8842 0.7500
0.8842 0.1158 0.2500
0.3670 0.6330 0.5711
0.3670 0.6330 0.9289
0.6330 0.3670 0.0711
0.6330 0.3670 0.4289
0.0000 0.0000 0.0000
0.0000 0.0000 0.5000
0.2946 0.7054 0.1362
0.2946 0.7054 0.3638
0.4824 0.5176 0.7500
0.5176 0.4824 0.2500
0.7054 0.2946 0.6362
0.7054 0.2946 0.8638
```



# 2
Computed X-ray diffraction stick pattern
Compound: Sm2ScPb9
Radiation: Cu Kα X-rays
Structure: a DFT-relaxed cell (GGA-PBE, Alexandria)
No peak broadening, texture or thermal motion is included.

Peak list (8 most intense, 2θ from 15° to 90°, by intensity)
31.78°, I 1000; 36.75°, I 344; 63.09°, I 290; 53.20°, I 235; 37.09°, I 163; 63.55°, I 134; 52.95°, I 123; 66.40°, I 122

Atomic structure:
```
Sm2ScPb9
1.0
4.8915 0.0000 0.0000
0.0000 4.8915 0.0000
0.0000 0.0000 14.5439
Sm Sc Pb
2 1 9
direct
0.0000 0.0000 0.1677
0.0000 0.0000 0.8323
0.0000 0.0000 0.5000
0.0000 0.5000 0.0000
0.0000 0.5000 0.3404
0.0000 0.5000 0.6596
0.5000 0.0000 0.0000
0.5000 0.0000 0.3404
0.5000 0.0000 0.6596
0.5000 0.5000 0.1699
0.5000 0.5000 0.5000
0.5000 0.5000 0.8301
```



# 3
Computed X-ray diffraction stick pattern
Compound: Sc6Sn3Pb
Radiation: Cu Kα X-rays
Structure: a DFT-relaxed cell (GGA-PBE, Alexandria)
No peak broadening, texture or thermal motion is included.

Peak list (8 most intense, 2θ from 15° to 90°, by intensity)
34.10°, I 1000; 36.92°, I 316; 21.82°, I 267; 25.88°, I 266; 69.72°, I 176; 16.29°, I 172; 43.30°, I 164; 59.14°, I 156

Atomic structure:
```
Sc6Sn3Pb
1.0
5.4395 -5.4469 0.0000
5.4395 5.4469 0.0000
0.0000 0.0000 8.1469
Sc Sn Pb
12 6 2
direct
0.0030 0.5019 0.7500
0.1629 0.8371 0.5043
0.1629 0.8371 0.9957
0.3327 0.3327 0.0000
0.3327 0.3327 0.5000
0.4981 0.9970 0.7500
0.5019 0.0030 0.2500
0.6673 0.6673 0.0000
0.6673 0.6673 0.5000
0.8371 0.1629 0.0043
0.8371 0.1629 0.4957
0.9970 0.4981 0.2500
0.1365 0.1400 0.7500
0.1400 0.1365 0.2500
0.3617 0.6383 0.7500
0.6383 0.3617 0.2500
0.8600 0.8635 0.7500
0.8635 0.8600 0.2500
0.3582 0.6418 0.2500
0.6418 0.3582 0.7500
```



# 4
Computed X-ray diffraction stick pattern
Compound: Tb3ScPb4
Radiation: Cu Kα X-rays
Structure: a DFT-relaxed cell (GGA-PBE, Alexandria)
No peak broadening, texture or thermal motion is included.

Peak list (8 most intense, 2θ from 15° to 90°, by intensity)
32.49°, I 1000; 67.98°, I 290; 40.03°, I 230; 52.50°, I 211; 58.02°, I 155; 86.50°, I 106; 57.89°, I 79; 82.08°, I 60

Atomic structure:
```
Tb3ScPb4
1.0
11.0061 0.0000 0.0000
0.0000 6.3703 0.0000
0.0000 0.0000 6.3721
Tb Sc Pb
6 2 8
direct
0.0000 0.0000 0.0000
0.2500 0.2571 0.2500
0.2500 0.7429 0.7500
0.5000 0.0000 0.5000
0.7500 0.2571 0.2500
0.7500 0.7429 0.7500
0.0000 0.5000 0.5000
0.5000 0.5000 0.0000
0.0000 0.0000 0.5000
0.0000 0.5000 0.0000
0.2500 0.2455 0.7500
0.2500 0.7545 0.2500
0.5000 0.0000 0.0000
0.5000 0.5000 0.5000
0.7500 0.2455 0.7500
0.7500 0.7545 0.2500
```



# 5
Computed X-ray diffraction stick pattern
Compound: ScTcPb4
Radiation: Cu Kα X-rays
Structure: a DFT-relaxed cell (GGA-PBE, Alexandria)
No peak broadening, texture or thermal motion is included.

Peak list (8 most intense, 2θ from 15° to 90°, by intensity)
33.55°, I 1000; 35.09°, I 756; 17.34°, I 564; 58.97°, I 356; 53.76°, I 353; 70.50°, I 313; 40.74°, I 257; 83.88°, I 231

Atomic structure:
```
ScTcPb4
1.0
0.0000 4.4299 4.4299
4.4299 0.0000 4.4299
4.4299 4.4299 0.0000
Sc Tc Pb
1 1 4
direct
0.0000 0.0000 0.0000
0.7500 0.7500 0.7500
0.3751 0.3751 0.3751
0.3751 0.3751 0.8748
0.3751 0.8748 0.3751
0.8748 0.3751 0.3751
```



# 6
Computed X-ray diffraction stick pattern
Compound: Th3ScPb2
Radiation: Cu Kα X-rays
Structure: a DFT-relaxed cell (GGA-PBE, Alexandria)
No peak broadening, texture or thermal motion is included.

Peak list (8 most intense, 2θ from 15° to 90°, by intensity)
34.44°, I 1000; 29.49°, I 897; 39.53°, I 735; 27.67°, I 506; 36.32°, I 492; 30.35°, I 391; 50.63°, I 381; 28.13°, I 334

Atomic structure:
```
Th3ScPb2
1.0
-3.2266 8.8343 3.2222
3.2266 -8.8343 3.2222
3.2266 8.8343 -3.2222
Th Sc Pb
6 2 4
direct
0.1784 0.2426 0.4210
0.2500 0.2500 0.0000
0.3216 0.7426 0.0642
0.6784 0.2574 0.9358
0.7500 0.7500 0.0000
0.8216 0.7574 0.5790
0.2500 0.7500 0.5000
0.7500 0.2500 0.5000
0.1342 0.7339 0.8681
0.3658 0.2339 0.5997
0.6342 0.7661 0.4003
0.8658 0.2661 0.1319
```



# 7
Computed X-ray diffraction stick pattern
Compound: ScTi2Pb
Radiation: Cu Kα X-rays
Structure: a DFT-relaxed cell (GGA-PBE, Alexandria)
No peak broadening, texture or thermal motion is included.

Peak list (8 most intense, 2θ from 15° to 90°, by intensity)
38.26°, I 1000; 30.97°, I 649; 23.34°, I 434; 43.88°, I 425; 25.42°, I 388; 26.91°, I 284; 76.88°, I 252; 52.22°, I 190

Atomic structure:
```
ScTi2Pb
1.0
4.1280 0.0000 0.0000
0.0000 4.1259 0.0000
-2.0627 0.0000 9.9402
Sc Ti Pb
2 4 2
direct
0.1870 0.2500 0.3748
0.8130 0.7500 0.6252
0.0491 0.7500 0.0983
0.4521 0.7500 0.9040
0.5479 0.2500 0.0959
0.9509 0.2500 0.9017
0.3400 0.2500 0.6794
0.6600 0.7500 0.3206
```



# 8
Computed X-ray diffraction stick pattern
Compound: Sc7Tl4Pb
Radiation: Cu Kα X-rays
Structure: a DFT-relaxed cell (GGA-PBE, Alexandria)
No peak broadening, texture or thermal motion is included.

Peak list (8 most intense, 2θ from 15° to 90°, by intensity)
23.64°, I 1000; 32.75°, I 859; 26.13°, I 821; 34.58°, I 624; 36.39°, I 601; 28.94°, I 569; 48.37°, I 482; 37.89°, I 464

Atomic structure:
```
Sc7Tl4Pb
1.0
6.7101 -2.7342 0.0000
6.7101 2.7342 0.0000
-6.4042 0.0000 8.5648
Sc Tl Pb
7 4 1
direct
0.0000 0.0000 0.0000
0.1510 0.1510 0.5738
0.2910 0.2910 0.1254
0.4252 0.4252 0.6784
0.5748 0.5748 0.3216
0.7090 0.7090 0.8746
0.8490 0.8490 0.4262
0.0724 0.0724 0.7752
0.2153 0.2153 0.3372
0.7847 0.7847 0.6628
0.9276 0.9276 0.2248
0.5000 0.5000 0.0000
```



# 9
Computed X-ray diffraction stick pattern
Compound: ScTlPb
Radiation: Cu Kα X-rays
Structure: a DFT-relaxed cell (GGA-PBE, Alexandria)
No peak broadening, texture or thermal motion is included.

Peak list (8 most intense, 2θ from 15° to 90°, by intensity)
33.29°, I 1000; 35.03°, I 209; 40.61°, I 185; 40.05°, I 154; 61.72°, I 153; 58.36°, I 130; 68.48°, I 127; 69.24°, I 123

Atomic structure:
```
ScTlPb
1.0
4.5025 0.0000 0.0000
0.0000 15.3715 0.0000
0.0000 0.0000 4.4444
Sc Tl Pb
4 4 4
direct
0.0000 0.1535 0.0000
0.0000 0.8465 0.0000
0.5000 0.3465 0.0000
0.5000 0.6535 0.0000
0.0000 0.0000 0.5000
0.0000 0.5000 0.0000
0.5000 0.0000 0.0000
0.5000 0.5000 0.5000
0.0000 0.3259 0.5000
0.0000 0.6741 0.5000
0.5000 0.1741 0.5000
0.5000 0.8259 0.5000
```



# 10
Computed X-ray diffraction stick pattern
Compound: Tm3ScPb3
Radiation: Cu Kα X-rays
Structure: a DFT-relaxed cell (GGA-PBE, Alexandria)
No peak broadening, texture or thermal motion is included.

Peak list (8 most intense, 2θ from 15° to 90°, by intensity)
30.76°, I 1000; 36.58°, I 642; 62.27°, I 298; 44.06°, I 203; 50.64°, I 202; 76.11°, I 199; 23.71°, I 150; 46.34°, I 141

Atomic structure:
```
Tm3ScPb3
1.0
9.1906 0.0000 0.0000
0.0000 9.1906 0.0000
0.0000 0.0000 9.1906
Tm Sc Pb
12 4 12
direct
0.0685 0.4315 0.5685
0.1782 0.1782 0.1782
0.1776 0.8224 0.3224
0.3224 0.1776 0.8224
0.3218 0.8218 0.6782
0.4315 0.5685 0.0685
0.5685 0.0685 0.4315
0.6782 0.3218 0.8218
0.6776 0.6776 0.6776
0.8224 0.3224 0.1776
0.8218 0.6782 0.3218
0.9315 0.9315 0.9315
0.0747 0.5747 0.9253
0.4253 0.4253 0.4253
0.5747 0.9253 0.0747
0.9253 0.0747 0.5747
0.0013 0.2568 0.8733
0.1267 0.5013 0.2432
0.2432 0.1267 0.5013
0.2568 0.8733 0.0013
0.3733 0.4987 0.7432
0.4987 0.7432 0.3733
0.5013 0.2432 0.1267
0.6267 0.9987 0.7568
0.7432 0.3733 0.4987
0.7568 0.6267 0.9987
0.8733 0.0013 0.2568
0.9987 0.7568 0.6267
```



# 11
Computed X-ray diffraction stick pattern
Compound: Tm6Sc3Pb
Radiation: Cu Kα X-rays
Structure: a DFT-relaxed cell (GGA-PBE, Alexandria)
No peak broadening, texture or thermal motion is included.

Peak list (8 most intense, 2θ from 15° to 90°, by intensity)
35.55°, I 1000; 30.28°, I 901; 32.40°, I 697; 36.57°, I 552; 33.31°, I 514; 19.46°, I 383; 51.15°, I 333; 43.25°, I 256

Atomic structure:
```
Tm6Sc3Pb
1.0
9.9027 0.0000 0.0000
0.0000 11.7313 0.0000
0.0000 0.0000 5.0539
Tm Sc Pb
12 6 2
direct
0.0645 0.2475 0.0000
0.1789 0.4222 0.5000
0.2169 0.1194 0.5000
0.2831 0.6194 0.0000
0.3211 0.9222 0.0000
0.4355 0.7475 0.5000
0.5645 0.2525 0.5000
0.6789 0.0778 0.0000
0.7169 0.3806 0.0000
0.7831 0.8806 0.5000
0.8211 0.5778 0.5000
0.9355 0.7525 0.0000
0.0000 0.0000 0.0000
0.1206 0.8254 0.5000
0.3794 0.3254 0.0000
0.5000 0.5000 0.5000
0.6206 0.6746 0.0000
0.8794 0.1746 0.5000
0.0000 0.5000 0.0000
0.5000 0.0000 0.5000
```



# 12
Computed X-ray diffraction stick pattern
Compound: Tm3ScPb2
Radiation: Cu Kα X-rays
Structure: a DFT-relaxed cell (GGA-PBE, Alexandria)
No peak broadening, texture or thermal motion is included.

Peak list (8 most intense, 2θ from 15° to 90°, by intensity)
35.71°, I 1000; 30.24°, I 605; 40.33°, I 593; 28.21°, I 467; 52.65°, I 351; 32.39°, I 342; 70.32°, I 283; 38.28°, I 233

Atomic structure:
```
Tm3ScPb2
1.0
4.4730 0.0000 0.0000
0.0000 4.4730 0.0000
0.0000 0.0000 8.2911
Tm Sc Pb
3 1 2
direct
0.0000 0.0000 0.0000
0.0000 0.5000 0.6621
0.5000 0.0000 0.3379
0.5000 0.5000 0.0000
0.0000 0.5000 0.2799
0.5000 0.0000 0.7201
```



# 13
Computed X-ray diffraction stick pattern
Compound: TmScPb2
Radiation: Cu Kα X-rays
Structure: a DFT-relaxed cell (GGA-PBE, Alexandria)
No peak broadening, texture or thermal motion is included.

Peak list (8 most intense, 2θ from 15° to 90°, by intensity)
33.06°, I 1000; 36.47°, I 385; 63.49°, I 311; 56.75°, I 217; 52.54°, I 137; 41.91°, I 131; 69.36°, I 120; 70.95°, I 113

Atomic structure:
```
TmScPb2
1.0
4.9268 0.0000 0.0000
0.0000 4.9268 0.0000
0.0000 0.0000 4.3110
Tm Sc Pb
1 1 2
direct
0.0000 0.0000 0.0000
0.5000 0.5000 0.0000
0.0000 0.5000 0.5000
0.5000 0.0000 0.5000
```